Calculated powder XRD pattern
Compound: Dy3Mg
Radiation: Cu Kα, 1.54184 Å
Structure: a crystal structure in the Materials Project, relaxed with PBE

Crystal structure
Lattice parameters (Å, degrees): 3.5465 3.5465 9.4160 90.00 90.00 90.00
Space group P4/mmm (No. 123)
Symmetry-distinct sites (fractional):
Dy 0.0000 0.0000 0.0000 [1 per cell]
Dy 0.5000 0.5000 0.2599 [2 per cell]
Mg 0.0000 0.0000 0.5000 [1 per cell]

Largest 10 diffraction maxima, sorted by position, 15° ≤ 2θ ≤ 90°:
hkl 1 0 1, 2θ 26.9, I 14
hkl 1 0 2, 2θ 31.6, I 100
hkl 1 1 0, 2θ 35.8, I 36
hkl 0 0 4, 2θ 38.2, I 16
hkl 2 0 0, 2θ 51.5, I 13
hkl 1 1 4, 2θ 53.4, I 22
hkl 2 1 2, 2θ 61.7, I 30
hkl 1 0 6, 2θ 65.0, I 12
hkl 2 0 4, 2θ 66.0, I 12
hkl 2 1 6, 2θ 87.4, I 11



Calculated powder XRD pattern
Compound: SmB4Ru4
Radiation: Cu Kα, 1.54184 Å
Structure: a crystal structure in the Materials Project, relaxed with PBE

Crystal structure
Lattice parameters (Å, degrees): 7.5347 7.5347 15.0956 90.00 90.00 90.00
Space group I4_1/acd (No. 142, origin choice 2)
Symmetry-distinct sites (fractional):
Sm 0.0000 0.2500 0.1250 [8 per cell]
B 0.1409 0.0823 0.2932 [32 per cell]
Ru 0.1155 0.1034 0.4368 [32 per cell]

Largest 10 diffraction maxima, sorted by position, 15° ≤ 2θ ≤ 90°:
hkl 0 0 4, 2θ 23.6, I 15
hkl 2 1 3, 2θ 32.0, I 44
hkl 2 0 4, 2θ 33.6, I 19
hkl 3 1 2, 2θ 39.7, I 100
hkl 2 1 5, 2θ 40.1, I 27
hkl 0 0 8, 2θ 48.3, I 10
hkl 4 2 0, 2θ 54.4, I 13
hkl 3 3 6, 2θ 64.2, I 16
hkl 5 1 2, 2θ 64.2, I 10
hkl 4 0 8, 2θ 70.7, I 27



Calculated powder XRD pattern
Compound: KLa7Cu4O16
Radiation: Cu Kα, 1.54184 Å
Structure: a crystal structure in the Materials Project, relaxed with PBE

Crystal structure
Lattice parameters (Å, degrees): 5.4147 5.4147 26.2109 90.00 90.00 90.00
Space group I4mm (No. 107)
Symmetry-distinct sites (fractional):
K 0.0000 0.0000 0.0000 [2 per cell]
La 0.0000 0.0000 0.3577 [2 per cell]
La 0.0000 0.0000 0.4977 [2 per cell]
La 0.0000 0.0000 0.8606 [2 per cell]
La 0.0000 0.5000 0.1057 [4 per cell]
La 0.0000 0.5000 0.2474 [4 per cell]
Cu 0.0000 0.0000 0.1776 [2 per cell]
Cu 0.0000 0.0000 0.6791 [2 per cell]
Cu 0.0000 0.5000 0.4309 [4 per cell]
O 0.0000 0.0000 0.1009 [2 per cell]
O 0.0000 0.0000 0.2635 [2 per cell]
O 0.0000 0.0000 0.5865 [2 per cell]
O 0.0000 0.0000 0.7702 [2 per cell]
O 0.0000 0.5000 0.0204 [4 per cell]
O 0.0000 0.5000 0.3354 [4 per cell]
O 0.2420 0.2420 0.4234 [8 per cell]
O 0.2457 0.2457 0.6792 [8 per cell]

Largest 10 diffraction maxima, sorted by position, 15° ≤ 2θ ≤ 90°:
hkl 1 1 2, 2θ 24.2, I 17
hkl 1 1 6, 2θ 31.1, I 100
hkl 2 0 0, 2θ 33.1, I 66
hkl 0 0 12, 2θ 41.3, I 13
hkl 1 1 10, 2θ 41.8, I 19
hkl 2 0 8, 2θ 43.4, I 24
hkl 2 2 0, 2θ 47.5, I 33
hkl 2 0 12, 2θ 54.0, I 18
hkl 3 1 6, 2θ 57.8, I 35
hkl 2 2 12, 2θ 64.8, I 11



Calculated powder XRD pattern
Compound: Rb2NaFeC6N6
Radiation: Cu Kα, 1.54184 Å
Structure: a crystal structure in the Materials Project, relaxed with PBE

Crystal structure
Lattice parameters (Å, degrees): 7.3219 7.7849 12.8784 90.00 124.22 90.00
Space group P2_1/c (No. 14)
Symmetry-distinct sites (fractional):
Rb 0.2275 0.0708 0.2495 [4 per cell]
Na 0.0000 0.0000 0.5000 [2 per cell]
Fe 0.5000 0.0000 0.0000 [2 per cell]
C 0.2542 0.1334 0.9678 [4 per cell]
C 0.3296 0.7053 0.4610 [4 per cell]
C 0.3986 0.0194 0.8279 [4 per cell]
N 0.1022 0.2163 0.9467 [4 per cell]
N 0.2228 0.6692 0.9364 [4 per cell]
N 0.3345 0.0338 0.7215 [4 per cell]

Largest 10 diffraction maxima, sorted by position, 15° ≤ 2θ ≤ 90°:
hkl 1 1 0, 2θ 18.6, I 39
hkl 0 2 0, 2θ 22.8, I 39
hkl 1 1 1, 2θ 23.5, I 100
hkl 1 1 -3, 2θ 23.7, I 98
hkl 2 0 -2, 2θ 24.3, I 68
hkl 0 0 4, 2θ 33.6, I 90
hkl 2 2 -1, 2θ 34.7, I 32
hkl 1 3 0, 2θ 37.7, I 28
hkl 3 1 -1, 2θ 42.3, I 31
hkl 3 1 -5, 2θ 42.5, I 30



Calculated powder XRD pattern
Compound: CsGaTe2
Radiation: Cu Kα, 1.54184 Å
Structure: a crystal structure in the Materials Project, relaxed with PBE

Crystal structure
Lattice parameters (Å, degrees): 12.1318 12.1267 18.3180 90.00 99.51 90.00
Space group C2/c (No. 15)
Symmetry-distinct sites (fractional):
Cs 0.0375 0.1872 0.4006 [8 per cell]
Cs 0.2146 0.4374 0.1083 [8 per cell]
Ga 0.1037 0.1888 0.6711 [8 per cell]
Ga 0.1434 0.4362 0.8284 [8 per cell]
Te 0.0000 0.0524 0.7500 [4 per cell]
Te 0.0000 0.4272 0.2500 [4 per cell]
Te 0.0428 0.3128 0.9196 [8 per cell]
Te 0.2082 0.0621 0.5825 [8 per cell]
Te 0.2400 0.1875 0.2504 [8 per cell]

Largest 10 diffraction maxima, sorted by position, 15° ≤ 2θ ≤ 90°:
hkl 2 2 1, 2θ 22.0, I 20
hkl 2 2 -3, 2θ 24.1, I 45
hkl 2 2 3, 2θ 27.0, I 100
hkl 0 0 6, 2θ 29.7, I 17
hkl 4 0 0, 2θ 29.9, I 18
hkl 4 0 4, 2θ 38.8, I 22
hkl 4 4 -1, 2θ 42.1, I 32
hkl 0 4 7, 2θ 46.2, I 34
hkl 6 2 -5, 2θ 50.8, I 17
hkl 2 6 -4, 2θ 50.8, I 17



Calculated powder XRD pattern
Compound: AsPdSe
Radiation: Cu Kα, 1.54184 Å
Structure: a crystal structure in the Materials Project, relaxed with PBE

Crystal structure
Lattice parameters (Å, degrees): 6.1894 6.1894 6.1894 90.00 90.00 90.00
Space group P2_13 (No. 198)
Symmetry-distinct sites (fractional):
As 0.1166 0.1166 0.1166 [4 per cell]
Pd 0.0068 0.9932 0.4932 [4 per cell]
Se 0.1134 0.3866 0.6134 [4 per cell]

Largest 10 diffraction maxima, sorted by position, 15° ≤ 2θ ≤ 90°:
hkl 2 0 0, 2θ 28.8, I 73
hkl 2 1 0, 2θ 32.3, I 70
hkl 2 1 1, 2θ 35.5, I 61
hkl 2 2 0, 2θ 41.3, I 40
hkl 3 1 1, 2θ 48.8, I 100
hkl 3 0 2, 2θ 53.4, I 25
hkl 3 2 1, 2θ 55.6, I 36
hkl 5 1 1, 2θ 80.7, I 37
hkl 4 2 3, 2θ 84.2, I 16
hkl 4 4 0, 2θ 89.6, I 23



Calculated powder XRD pattern
Compound: Nd2S3
Radiation: Cu Kα, 1.54184 Å
Structure: a crystal structure in the Materials Project, relaxed with PBE

Crystal structure
Lattice parameters (Å, degrees): 8.6033 8.6033 25.6968 90.00 90.00 90.00
Space group I-42d (No. 122)
Symmetry-distinct sites (fractional):
Nd 0.0000 0.0000 0.1657 [8 per cell]
Nd 0.1200 0.2500 0.6250 [8 per cell]
Nd 0.1383 0.2418 0.2892 [16 per cell]
S 0.0714 0.1760 0.0668 [16 per cell]
S 0.0732 0.1815 0.3953 [16 per cell]
S 0.0805 0.1689 0.7336 [16 per cell]

Largest 10 diffraction maxima, sorted by position, 15° ≤ 2θ ≤ 90°:
hkl 1 1 6, 2θ 25.4, I 100
hkl 3 1 0, 2θ 32.9, I 72
hkl 1 0 9, 2θ 33.1, I 30
hkl 3 2 3, 2θ 39.2, I 40
hkl 2 1 9, 2θ 39.3, I 26
hkl 4 0 6, 2θ 47.3, I 16
hkl 3 2 9, 2θ 49.8, I 26
hkl 3 1 12, 2θ 54.5, I 16
hkl 6 1 3, 2θ 67.1, I 18
hkl 7 2 3, 2θ 82.4, I 16



Calculated powder XRD pattern
Compound: K3Ho
Radiation: Cu Kα, 1.54184 Å
Structure: a crystal structure in the Materials Project, relaxed with PBE

Crystal structure
Lattice parameters (Å, degrees): 8.5948 8.5948 7.0412 90.00 90.00 120.00
Space group P6_3/mmc (No. 194)
Symmetry-distinct sites (fractional):
K 0.1724 0.3447 0.2500 [6 per cell]
Ho 0.3333 0.6667 0.7500 [2 per cell]

Largest 10 diffraction maxima, sorted by position, 15° ≤ 2θ ≤ 90°:
hkl 1 0 1, 2θ 17.3, I 47
hkl 1 1 0, 2θ 20.7, I 22
hkl 2 0 0, 2θ 23.9, I 23
hkl 0 0 2, 2θ 25.3, I 27
hkl 2 0 1, 2θ 27.1, I 100
hkl 2 1 1, 2θ 34.3, I 22
hkl 2 2 0, 2θ 42.1, I 19
hkl 2 0 3, 2θ 45.7, I 23
hkl 2 2 2, 2θ 49.7, I 23
hkl 4 0 1, 2θ 50.7, I 24



Calculated powder XRD pattern
Compound: VFeCoSi
Radiation: Cu Kα, 1.54184 Å
Structure: a crystal structure in the Materials Project, relaxed with PBE

Crystal structure
Lattice parameters (Å, degrees): 5.6513 5.6513 5.6513 90.00 90.00 90.00
Space group F-43m (No. 216)
Symmetry-distinct sites (fractional):
V 0.0000 0.0000 0.0000 [4 per cell]
Fe 0.2500 0.2500 0.2500 [4 per cell]
Co 0.2500 0.2500 0.7500 [4 per cell]
Si 0.0000 0.0000 0.5000 [4 per cell]

Largest 8 diffraction maxima, sorted by position, 15° ≤ 2θ ≤ 90°:
hkl 1 1 1, 2θ 27.3, I 3
hkl 2 0 0, 2θ 31.7, I 6
hkl 2 2 0, 2θ 45.4, I 100
hkl 3 1 1, 2θ 53.8, I 1
hkl 2 2 2, 2θ 56.4, I 2
hkl 4 0 0, 2θ 66.1, I 15
hkl 4 2 0, 2θ 75.2, I 2
hkl 4 2 2, 2θ 83.9, I 29



Calculated powder XRD pattern
Compound: PrEuZn2
Radiation: Cu Kα, 1.54184 Å
Structure: a crystal structure in the Materials Project, relaxed with PBE

Crystal structure
Lattice parameters (Å, degrees): 7.4225 7.4225 7.4225 90.00 90.00 90.00
Space group Fm-3m (No. 225)
Symmetry-distinct sites (fractional):
Pr 0.0000 0.0000 0.0000 [4 per cell]
Eu 0.0000 0.0000 0.5000 [4 per cell]
Zn 0.2500 0.2500 0.2500 [8 per cell]

Largest 10 diffraction maxima, sorted by position, 15° ≤ 2θ ≤ 90°:
hkl 2 0 0, 2θ 24.0, I 15
hkl 2 2 0, 2θ 34.2, I 100
hkl 2 2 2, 2θ 42.2, I 4
hkl 4 0 0, 2θ 49.1, I 18
hkl 4 2 0, 2θ 55.4, I 6
hkl 4 2 2, 2θ 61.2, I 36
hkl 4 4 0, 2θ 72.0, I 11
hkl 6 0 0, 2θ 77.1, I 3
hkl 6 2 0, 2θ 82.1, I 15
hkl 6 2 2, 2θ 87.1, I 2